(1)
# La4Tb7Ho
Simulated powder diffractogram, Cu Kα (λ = 1.5418 Å). Input: the GGA-PBE geometry in Alexandria.
Neutral-atom scattering factors, no anomalous dispersion.

Peak list (10 most intense, 15 to 90 degrees two-theta, by angle)
hkl 1 0 4, 2θ 30.25, d 2.955, rel. 100.0
hkl 0 1 8, 2θ 35.07, d 2.559, rel. 50.7
hkl 1 1 0, 2θ 50.43, d 1.810, rel. 36.0
hkl 0 2 4, 2θ 59.92, d 1.544, rel. 32.2
hkl 0 1 20, 2θ 60.01, d 1.542, rel. 10.5
hkl 2 0 8, 2θ 62.87, d 1.478, rel. 9.3
hkl 0 2 16, 2θ 74.10, d 1.280, rel. 5.6
hkl 2 1 4, 2θ 82.00, d 1.175, rel. 8.9
hkl 1 2 8, 2θ 84.63, d 1.145, rel. 8.3
hkl 1 1 24, 2θ 84.76, d 1.144, rel. 7.8

Crystal structure
Unit cell a=3.622 b=3.622 c=35.402 alpha=90.00 beta=90.00 gamma=120.00
Positions (direct):
La 0.333 0.667 0.166
La 0.333 0.667 0.416
La 0.667 0.333 0.584
La 0.667 0.333 0.834
Tb 0.000 0.000 0.250
Tb 0.000 0.000 0.500
Tb 0.000 0.000 0.750
Tb 0.333 0.667 0.669
Tb 0.333 0.667 0.919
Tb 0.667 0.333 0.081
Tb 0.667 0.333 0.331
Ho 0.000 0.000 0.000


(2)
# LaHfSb3
Simulated powder diffractogram, Cu Kα (λ = 1.5418 Å). Input: the GGA-PBE geometry in Alexandria.
Neutral-atom scattering factors, no anomalous dispersion.

Peak list (10 most intense, 15 to 90 degrees two-theta, by angle)
hkl 3 1 1, 2θ 27.67, d 3.224, rel. 25.1
hkl 2 2 0, 2θ 30.73, d 2.909, rel. 100.0
hkl 5 0 0, 2θ 32.67, d 2.741, rel. 72.5
hkl 2 1 2, 2θ 33.83, d 2.650, rel. 26.2
hkl 3 0 2, 2θ 34.10, d 2.629, rel. 28.6
hkl 3 1 2, 2θ 36.95, d 2.433, rel. 32.1
hkl 0 2 2, 2θ 39.68, d 2.271, rel. 56.0
hkl 5 2 2, 2θ 52.30, d 1.749, rel. 32.1
hkl 0 0 4, 2θ 57.38, d 1.606, rel. 19.3
hkl 2 4 2, 2θ 66.50, d 1.406, rel. 30.2

Crystal structure
Unit cell a=13.727 b=6.427 c=6.422 alpha=90.00 beta=90.00 gamma=90.00
Positions (direct):
La 0.182 0.010 0.250
La 0.182 0.490 0.750
La 0.818 0.510 0.250
La 0.818 0.990 0.750
Hf 0.412 0.750 0.000
Hf 0.412 0.750 0.500
Hf 0.588 0.250 0.000
Hf 0.588 0.250 0.500
Sb 0.003 0.750 0.000
Sb 0.003 0.750 0.500
Sb 0.269 0.511 0.250
Sb 0.269 0.989 0.750
Sb 0.421 0.121 0.250
Sb 0.421 0.379 0.750
Sb 0.579 0.621 0.250
Sb 0.579 0.879 0.750
Sb 0.731 0.011 0.250
Sb 0.731 0.489 0.750
Sb 0.997 0.250 0.000
Sb 0.997 0.250 0.500


(3)
# PuIF3
Simulated powder diffractogram, Cu Kα (λ = 1.5418 Å). Input: the GGA-PBE geometry in Alexandria.
Neutral-atom scattering factors, no anomalous dispersion.

Peak list (10 most intense, 15 to 90 degrees two-theta, by angle)
hkl 1 1 0, 2θ 20.91, d 4.248, rel. 75.2
hkl 1 1 1, 2θ 24.69, d 3.606, rel. 100.0
hkl 0 0 2, 2θ 26.12, d 3.411, rel. 19.3
hkl 0 2 0, 2θ 26.42, d 3.373, rel. 37.2
hkl 1 1 2, 2θ 33.70, d 2.660, rel. 36.1
hkl 2 0 1, 2θ 35.37, d 2.538, rel. 26.4
hkl 2 2 1, 2θ 44.69, d 2.028, rel. 40.8
hkl 1 1 -3, 2θ 45.23, d 2.005, rel. 17.9
hkl 1 3 1, 2θ 45.60, d 1.989, rel. 20.5
hkl 2 2 -2, 2θ 50.63, d 1.803, rel. 13.8

Crystal structure
Unit cell a=5.468 b=6.746 c=6.822 alpha=90.00 beta=90.05 gamma=90.00
Positions (direct):
Pu 0.000 0.000 0.000
Pu 0.500 0.500 0.011
I 0.259 0.000 0.622
I 0.760 0.500 0.389
F 0.262 0.240 0.100
F 0.262 0.760 0.100
F 0.308 0.500 0.758
F 0.762 0.260 0.911
F 0.762 0.740 0.911
F 0.807 0.000 0.253


What is the formula in the first record? La4Tb7Ho